For K2NiW3O12, a structure optimized by DFT (GGA+U) gives the theoretical powder X-ray diffraction pattern in this record (Cu Kα, 1.54184 Å).

Crystal structure
Lattice parameters (Å, degrees): 7.3258 7.3258 17.1185 90.00 90.00 120.00
Space group R-3m (No. 166, hexagonal axes)
Symmetry-distinct sites (fractional):
K 0.0000 0.0000 0.1384
Ni 0.0000 0.0000 0.5000
W 0.0000 0.5000 0.0000
O 0.0834 0.5417 0.3605
O 0.0900 0.5450 0.1056

Peak list (8 most intense, 5° ≤ 2θ ≤ 70°, in order of rising 2θ)
5.949 Å, I = 94
5.706 Å, I = 91
3.119 Å, I = 89
3.082 Å, I = 65
2.974 Å, I = 100
2.853 Å, I = 33
1.831 Å, I = 37
1.774 Å, I = 34